[1]
Structure and computed powder X-ray diffraction pattern of RbF3 (DFT lattice parameters and positions (GGA-PBE); Cu Kα, 1.54184 Å).
Peak positions follow from Bragg's law for the DFT cell and can differ from measured ones.

Largest 10 diffraction maxima, by intensity, 2θ = 10–90°:
h k l  d_spacing  two_theta  Rel. int.
2 2 1  2.369  38.0  100
1 1 0  5.268  16.8  83
0 0 2  2.708  33.1  54
1 1 1  3.776  23.6  51
1 3 0  2.956  30.2  45
1 5 1  1.810  50.4  31
1 3 2  1.997  45.4  28
1 3 1  2.595  34.6  23
1 1 2  2.408  37.3  22
2 2 3  1.489  62.4  21

Structural model:
a b c (Å): 6.1737 10.1015 5.4152
angles (deg): 90.00 90.00 90.00
Space group Cmcm (No. 63)
Unique sites:
Rb (0.0000, 0.1456, 0.2500) x4
F (0.0000, 0.2449, 0.7500) x4
F (0.2393, 0.1153, 0.7500) x8

***

[2]
Structure and computed powder X-ray diffraction pattern of Al2O3 (DFT lattice parameters and positions (GGA-PBE); Cu Kα, 1.54184 Å).
Peak positions follow from Bragg's law for the DFT cell and can differ from measured ones.

Largest 10 diffraction maxima, by intensity, 2θ = 10–90°:
h k l  d_spacing  two_theta  Rel. int.
0 0 2  4.566  19.4  100
0 1 -1  4.061  21.9  85
0 1 2  3.634  24.5  40
1 -1 0  2.465  36.4  40
0 1 -2  3.107  28.7  40
0 1 1  4.626  19.2  33
0 1 -3  2.423  37.1  20
0 1 4  2.205  40.9  16
2 0 0  1.427  65.4  15
1 0 3  2.085  43.4  15

Structural model:
a b c (Å): 2.8547 4.9579 9.2456
angles (deg): 81.05 89.82 89.94
Space group P-1 (No. 2)
Unique sites:
Al (0.0018, 0.3727, 0.3141) x2
Al (0.4972, 0.0851, 0.8605) x2
O (0.0023, 0.7110, 0.2097) x2
O (0.4972, 0.8027, 0.7571) x2
O (0.5005, 0.3939, 0.4508) x2

***

[3]
Structure and computed powder X-ray diffraction pattern of MgMn2S4 (DFT lattice parameters and positions (GGA-PBE); Cu Kα, 1.54184 Å).
Peak positions follow from Bragg's law for the DFT cell and can differ from measured ones.

Largest 10 diffraction maxima, by intensity, 2θ = 10–90°:
h k l  d_spacing  two_theta  Rel. int.
1 0 1  5.958  14.9  100
2 2 4  1.841  49.5  90
2 2 0  2.535  35.4  88
2 1 1  3.072  29.1  67
0 0 4  2.678  33.5  51
4 0 0  1.793  50.9  42
3 2 1  1.955  46.4  38
1 0 3  3.196  27.9  32
4 0 4  1.490  62.3  26
1 0 5  2.053  44.1  24

Structural model:
a b c (Å): 7.1700 7.1700 10.7108
angles (deg): 90.00 90.00 90.00
Space group I4_1/amd (No. 141, origin choice 2)
Unique sites:
Mg (0.0000, 0.2500, 0.3750) x4
Mn (0.0000, 0.0000, 0.0000) x8
S (0.0000, 0.0216, 0.7639) x16

***

[4]
Structure and computed powder X-ray diffraction pattern of TiNb2O7 (DFT lattice parameters and positions (GGA-PBE); Cu Kα, 1.54184 Å).
Peak positions follow from Bragg's law for the DFT cell and can differ from measured ones.

Largest 10 diffraction maxima, by intensity, 2θ = 10–90°:
h k l  d_spacing  two_theta  Rel. int.
0 0 3  3.461  25.7  100
1 1 0  3.771  23.6  70
0 0 2  5.187  17.1  58
5 1 -2  2.805  31.9  38
0 2 0  1.929  47.1  25
0 2 3  1.685  54.5  23
0 0 5  2.075  43.6  19
10 0 -3  2.084  43.4  19
1 1 -3  2.698  33.2  17
11 1 -3  1.699  54.0  14

Structural model:
a b c (Å): 20.8404 3.8580 12.0785
angles (deg): 90.00 120.80 90.00
Space group Cm (No. 8)
Unique sites:
Ti (0.0000, 0.0000, 0.0000) x2
Ti (0.0934, 0.5000, 0.7276) x2
Ti (0.2161, 0.0000, 0.7293) x2
Nb (0.1113, 0.0000, 0.3656) x2
Nb (0.1770, 0.0000, 0.9886) x2
Nb (0.2931, 0.0000, 0.3629) x2
Nb (0.3693, 0.0000, 0.9915) x2
Nb (0.4114, 0.0000, 0.7347) x2
Nb (0.4785, 0.0000, 0.3674) x2
O (0.0020, 0.0000, 0.3627) x2
O (0.0030, 0.5000, 0.7413) x2
O (0.0416, 0.5000, 0.5551) x2
O (0.0440, 0.0000, 0.1672) x2
O (0.0830, 0.5000, 0.3564) x2
O (0.0844, 0.0000, 0.9826) x2
O (0.1190, 0.0000, 0.7659) x2
O (0.1658, 0.5000, 0.9398) x2
O (0.1671, 0.0000, 0.5501) x2
O (0.1932, 0.0000, 0.3439) x2
O (0.1928, 0.5000, 0.7343) x2
O (0.2439, 0.0000, 0.1635) x2
O (0.2675, 0.0000, 0.9423) x2
O (0.2934, 0.5000, 0.3599) x2
O (0.3149, 0.0000, 0.7782) x2
O (0.3434, 0.0000, 0.5573) x2
O (0.3922, 0.0000, 0.3741) x2
O (0.3916, 0.5000, 0.9845) x2
O (0.4180, 0.0000, 0.1714) x2
O (0.4202, 0.5000, 0.7826) x2
O (0.4666, 0.0000, 0.9577) x2

***

[5]
Structure and computed powder X-ray diffraction pattern of Ho3CrS6 (DFT lattice parameters and positions (GGA-PBE); Cu Kα, 1.54184 Å).
Peak positions follow from Bragg's law for the DFT cell and can differ from measured ones.

Largest 10 diffraction maxima, by intensity, 2θ = 10–90°:
h k l  d_spacing  two_theta  Rel. int.
3 3 1  2.520  35.6  100
2 4 0  3.416  26.1  92
5 1 1  2.144  42.1  72
4 0 0  3.299  27.0  68
0 5 1  2.434  36.9  63
2 1 1  3.204  27.8  54
4 1 0  3.237  27.6  51
0 0 2  1.882  48.4  49
2 3 1  2.786  32.1  48
1 4 0  3.820  23.3  44

Structural model:
a b c (Å): 13.2210 15.9607 3.7638
angles (deg): 90.00 90.00 90.00
Space group Pnnm (No. 58)
Unique sites:
Ho (0.0499, 0.2194, 0.0000) x4
Ho (0.1803, 0.6486, 0.0000) x4
Ho (0.2462, 0.9024, 0.5000) x4
Cr (0.0000, 0.0000, 0.5000) x2
Cr (0.0000, 0.5000, 0.5000) x2
S (0.0238, 0.4025, 0.0000) x4
S (0.0832, 0.9249, 0.0000) x4
S (0.1036, 0.7543, 0.5000) x4
S (0.1208, 0.1080, 0.5000) x4
S (0.1803, 0.5217, 0.5000) x4
S (0.1877, 0.2894, 0.5000) x4

***

[6]
Structure and computed powder X-ray diffraction pattern of PbSeO3 (DFT lattice parameters and positions (GGA-PBE); Cu Kα, 1.54184 Å).
Peak positions follow from Bragg's law for the DFT cell and can differ from measured ones.

Largest 10 diffraction maxima, by intensity, 2θ = 10–90°:
h k l  d_spacing  two_theta  Rel. int.
1 2 1  3.312  26.9  100
2 1 -2  3.266  27.3  62
1 1 -3  2.783  32.2  37
2 0 2  2.834  31.6  31
3 1 -1  2.880  31.1  28
0 2 2  2.976  30.0  27
2 2 0  3.034  29.4  19
3 0 0  3.022  29.6  18
1 3 -1  2.543  35.3  17
0 1 2  3.837  23.2  17

Structural model:
a b c (Å): 9.3040 8.1687 8.9213
angles (deg): 90.00 103.00 90.00
Space group P2_1/c (No. 14)
Unique sites:
Pb (0.0059, 0.1652, 0.1752) x4
Pb (0.3959, 0.6757, 0.7721) x4
Se (0.2041, 0.5056, 0.0523) x4
Se (0.3200, 0.1005, 0.9504) x4
O (0.1301, 0.1209, 0.8763) x4
O (0.1321, 0.6774, 0.1254) x4
O (0.1562, 0.5513, 0.8558) x4
O (0.3362, 0.6111, 0.4614) x4
O (0.3390, 0.1486, 0.1412) x4
O (0.3882, 0.5504, 0.0991) x4